Entry 1:
Theoretical powder diffraction line list
Compound: Be2VS
Radiation: Cu Kα (λ = 1.5418 Å)
Structure: a GGA-PBE-relaxed structure
Neutral-atom scattering factors, no anomalous dispersion.

Crystal structure
```
data_Be2VS
_cell_length_a 6.424
_cell_length_b 6.424
_cell_length_c 4.518
_cell_angle_alpha 90.00
_cell_angle_beta 90.00
_cell_angle_gamma 90.00
_space_group_name_H-M_alt 'I -4 2 d'
_space_group_IT_number 122
_space_group_name_Hall 'I -4 2bw'
loop_
_atom_site_label
_atom_site_type_symbol
_atom_site_fract_x
_atom_site_fract_y
_atom_site_fract_z
Be1 Be 0.200 0.250 0.125
V1 V 0.000 0.000 0.500
S1 S 0.000 0.000 0.000
```

Most intense lines, 2θ from 15° to 90°, in order of rising 2θ:
h k l  Position (°2θ)  Rel. int.
2 0 0  27.8  100.0
2 2 0  39.7  59.4
1 1 2  44.8  66.1
4 0 0  57.4  17.4
3 1 2  61.4  47.1
5 1 2  89.0  16.4

***

Entry 2:
Theoretical powder diffraction line list
Compound: Ac2NiAu3
Radiation: Cu Kα (λ = 1.5418 Å)
Structure: a GGA-PBE-relaxed structure
Neutral-atom scattering factors, no anomalous dispersion.

Crystal structure
```
data_Ac2NiAu3
_cell_length_a 8.148
_cell_length_b 9.321
_cell_length_c 16.222
_cell_angle_alpha 90.00
_cell_angle_beta 90.00
_cell_angle_gamma 90.00
_space_group_name_H-M_alt 'F m m m'
_space_group_IT_number 69
_space_group_name_Hall '-F 2 2'
loop_
_atom_site_label
_atom_site_type_symbol
_atom_site_fract_x
_atom_site_fract_y
_atom_site_fract_z
Ac1 Ac 0.249 0.000 0.000
Ac2 Ac 0.250 0.250 0.250
Ni1 Ni 0.000 0.000 0.332
Au1 Au 0.000 0.000 0.174
Au2 Au 0.000 0.237 0.413
```

Most intense lines, 2θ from 15° to 90°, in order of rising 2θ:
h k l  Position (°2θ)  Rel. int.
2 2 2  31.2  100.0
0 2 6  38.5  37.4
0 4 0  38.6  18.3
4 0 0  44.5  12.9
2 4 4  50.4  17.0
4 2 6  60.2  20.5

***

Entry 3:
Theoretical powder diffraction line list
Compound: Ni15Mo17P12
Radiation: Cu Kα (λ = 1.5418 Å)
Structure: a GGA-PBE-relaxed structure
Neutral-atom scattering factors, no anomalous dispersion.

Crystal structure
```
data_Ni15Mo17P12
_cell_length_a 7.017
_cell_length_b 7.055
_cell_length_c 13.300
_cell_angle_alpha 98.30
_cell_angle_beta 92.82
_cell_angle_gamma 119.68
_space_group_name_H-M_alt 'P -1'
_space_group_IT_number 2
_space_group_name_Hall '-P 1'
loop_
_atom_site_label
_atom_site_type_symbol
_atom_site_fract_x
_atom_site_fract_y
_atom_site_fract_z
Ni1 Ni 0.000 0.000 0.000
Ni2 Ni 0.217 0.329 0.751
Ni3 Ni 0.220 0.836 0.251
Ni4 Ni 0.355 0.204 0.584
Ni5 Ni 0.355 0.705 0.084
Ni6 Ni 0.365 0.033 0.749
Ni7 Ni 0.367 0.537 0.249
Ni8 Ni 0.499 0.750 0.751
Mo1 Mo 0.000 0.500 0.500
Mo2 Mo 0.059 0.090 0.214
Mo3 Mo 0.059 0.585 0.722
Mo4 Mo 0.074 0.889 0.425
Mo5 Mo 0.076 0.386 0.925
Mo6 Mo 0.298 0.868 0.921
Mo7 Mo 0.301 0.364 0.417
Mo8 Mo 0.430 0.351 0.070
Mo9 Mo 0.438 0.856 0.571
P1 P 0.098 0.382 0.115
P2 P 0.098 0.881 0.619
P3 P 0.293 0.984 0.107
P4 P 0.299 0.485 0.612
P5 P 0.299 0.716 0.383
P6 P 0.300 0.216 0.885
```

Most intense lines, 2θ from 15° to 90°, in order of rising 2θ:
h k l  Position (°2θ)  Rel. int.
2 -3 1  39.2  12.2
-3 1 1  39.4  17.6
0 0 6  41.5  100.0
-1 3 3  48.1  19.3
2 1 -5  48.2  21.6
3 -2 4  48.8  17.7